This entry pairs a crystal structure of Er2Pd4Pt with its simulated XRD peak list. Radiation: CuKα. Structure: DFT lattice parameters and positions (GGA-PBE).
Neutral-atom scattering factors, no anomalous dispersion.

Top 10 peaks for 2θ from 10° to 90°, sorted by position:
two_theta  I_rel
32.7  100
37.7  59
38.0  63
38.7  41
40.5  25
42.5  61
47.4  21
58.5  23
65.3  18
77.9  22

```
Er2Pd4Pt
1.0
5.033 -2.730 0.000
5.033 2.730 0.000
0.000 0.000 9.555
Er Pd Pt
4 8 2
Cartesian
1.564 0.000 0.000
3.469 0.000 4.777
6.597 0.000 4.777
8.502 0.000 0.000
2.516 0.859 7.166
5.033 1.887 7.352
5.033 0.843 2.575
2.516 -0.859 2.389
7.549 0.859 7.166
5.033 -0.843 6.980
5.033 -1.887 2.202
7.549 -0.859 2.389
0.000 0.000 4.777
5.033 0.000 0.000
```

---

This entry pairs a crystal structure of TlReHg with its simulated XRD peak list. Radiation: CuKα. Structure: DFT lattice parameters and positions (GGA-PBE).
Neutral-atom scattering factors, no anomalous dispersion.

Top 10 peaks for 2θ from 10° to 90°, sorted by position:
two_theta  I_rel
29.7  36
35.5  35
38.6  100
43.6  12
46.9  21
58.7  12
65.7  21
68.0  15
75.0  12
82.7  13

```
TlReHg
1.0
2.925 0.000 0.000
0.000 5.064 0.000
0.000 0.000 18.077
Tl Re Hg
4 4 4
Cartesian
0.000 0.000 0.000
0.000 2.532 9.039
1.462 0.000 9.039
1.462 2.532 0.000
0.000 0.000 11.728
0.000 2.532 2.689
1.462 0.000 2.689
1.462 2.532 11.728
0.000 0.000 5.290
0.000 2.532 14.328
1.462 0.000 14.328
1.462 2.532 5.290
```

---

This entry pairs a crystal structure of Be6Si with its simulated XRD peak list. Radiation: CuKα. Structure: DFT lattice parameters and positions (GGA-PBE).
Neutral-atom scattering factors, no anomalous dispersion.

Top 10 peaks for 2θ from 10° to 90°, sorted by position:
two_theta  I_rel
22.1  33
31.4  47
38.7  100
45.0  5
50.7  8
60.8  50
65.6  13
74.5  14
78.8  12
87.3  5

```
Be6Si
1.0
5.696 0.000 0.000
0.000 5.696 0.000
0.000 0.000 5.696
Be Si
12 2
Cartesian
0.000 1.424 2.848
0.000 2.848 1.424
0.000 2.848 4.272
0.000 4.272 2.848
1.424 0.000 2.848
1.424 2.848 0.000
2.848 0.000 1.424
2.848 0.000 4.272
2.848 1.424 0.000
2.848 4.272 0.000
4.272 0.000 2.848
4.272 2.848 0.000
0.000 0.000 0.000
2.848 2.848 2.848
```

---

This entry pairs a crystal structure of Dy3NiTe with its simulated XRD peak list. Radiation: CuKα. Structure: DFT lattice parameters and positions (GGA-PBE).
Neutral-atom scattering factors, no anomalous dispersion.

Top 10 peaks for 2θ from 10° to 90°, sorted by position:
two_theta  I_rel
28.8  100
31.4  31
31.7  44
32.1  33
32.4  42
34.9  30
35.4  74
38.0  32
39.2  31
45.8  39

```
Dy3NiTe
1.0
8.026 0.000 0.000
0.000 3.966 0.000
-2.327 0.000 8.160
Dy Ni Te
6 2 2
Cartesian
-0.023 0.992 2.078
0.256 0.992 7.596
1.142 2.975 4.838
4.557 0.992 3.323
5.443 2.975 0.565
5.722 2.975 6.082
-0.849 0.992 4.800
6.549 2.975 3.361
2.516 2.975 1.914
3.184 0.992 6.246
```